Entry 1:
The following is a calculated X-ray powder pattern of Pr8Tm3Th. It was derived from DFT lattice parameters and positions (PBE), using copper Kα.
Kinematic intensities with the Lorentz-polarization factor, no thermal factor.

Main lines, sorted by position (5° ≤ 2θ ≤ 70°):
2θ = 29.9°, I = 100
2θ = 30.5°, I = 60
2θ = 30.6°, I = 59
2θ = 32.3°, I = 52
2θ = 33.0°, I = 46
2θ = 60.3°, I = 35

```
12
Lattice="10.3447 -1.8015 0.0000 10.3447 1.8015 0.0000 -0.0653 0.0000 11.0784" Properties=species:S:1:pos:R:3 pbc="T T T"
Pr 1.6176 0.0000 2.7827
Pr 1.8770 0.0000 8.2702
Pr 6.7333 0.0000 10.8659
Pr 6.7966 0.0000 5.7703
Pr 13.8275 0.0000 5.3081
Pr 13.8908 0.0000 0.2125
Pr 18.7472 0.0000 2.8082
Pr 19.0065 0.0000 8.2957
Tm 5.1744 0.0000 2.7674
Tm 10.3447 0.0000 0.0000
Tm 15.4497 0.0000 8.3111
Th 10.3121 0.0000 5.5392
```

---

Entry 2:
The following is a calculated X-ray powder pattern of PrYTmTh. It was derived from DFT lattice parameters and positions (PBE), using copper Kα.
Kinematic intensities with the Lorentz-polarization factor, no thermal factor.

Main lines, sorted by position (5° ≤ 2θ ≤ 70°):
2θ = 7.6°, I = 38
2θ = 29.1°, I = 43
2θ = 30.8°, I = 43
2θ = 31.4°, I = 100
2θ = 33.9°, I = 72
2θ = 60.5°, I = 38

```
4
Lattice="1.8010 1.0398 11.5970 -1.8010 1.0398 11.5970 0.0000 -2.0796 11.5970" Properties=species:S:1:pos:R:3 pbc="T T T"
Pr 0.0000 0.0000 0.0000
Y 0.0000 0.0000 8.5673
Tm 0.0000 0.0000 14.5726
Th 0.0000 0.0000 28.9405
```

---

Entry 3:
The following is a calculated X-ray powder pattern of PrYTmTh2. It was derived from DFT lattice parameters and positions (PBE), using copper Kα.
Kinematic intensities with the Lorentz-polarization factor, no thermal factor.

Main lines, sorted by position (5° ≤ 2θ ≤ 70°):
2θ = 29.0°, I = 100
2θ = 34.3°, I = 33
2θ = 35.2°, I = 35
2θ = 38.0°, I = 39
2θ = 52.1°, I = 26
2θ = 63.2°, I = 23

```
10
Lattice="3.3490 -7.8515 0.0000 3.3490 7.8515 0.0000 0.0000 0.0000 6.6978" Properties=species:S:1:pos:R:3 pbc="T T T"
Pr 3.3490 3.9430 5.0234
Pr 3.3490 -3.9430 1.6745
Y 3.3490 5.4669 1.6745
Y 3.3490 -5.4669 5.0234
Tm 3.3490 2.3509 1.6745
Tm 3.3490 -2.3509 5.0234
Th 1.6799 0.0000 0.0000
Th 1.6799 0.0000 3.3489
Th 5.0181 0.0000 0.0000
Th 5.0181 0.0000 3.3489
```